Record 1
Theoretical powder XRD pattern
Compound: SrAgHgF6
Radiation: λ = 1.5418 Å (Cu Kα)
Structure: DFT lattice parameters and positions (GGA-PBE)
Peak positions follow from Bragg's law for the DFT cell and can differ from measured ones.

```
18
Lattice="5.274 0.000 0.000 0.000 5.274 0.000 0.000 0.000 11.412" Properties=species:S:1:pos:R:3 pbc="T T T"
Sr 0.000 0.000 0.000
Sr 2.637 2.637 5.706
Ag 0.000 0.000 3.807
Ag 2.637 2.637 9.513
Hg 0.000 0.000 7.613
Hg 2.637 2.637 1.906
F 0.968 0.968 5.694
F 1.054 1.054 1.962
F 1.126 1.126 9.486
F 1.511 3.763 3.780
F 1.583 3.691 7.668
F 1.669 3.605 11.400
F 3.605 1.669 11.400
F 3.691 1.583 7.668
F 3.763 1.511 3.780
F 4.148 4.148 9.486
F 4.219 4.219 1.962
F 4.306 4.306 5.694
```

Main lines, sorted by position (2θ = 15–90°):
| 2θ/deg | I_rel |
| --- | --- |
| 18.53 | 21.2 |
| 23.86 | 100.0 |
| 28.94 | 94.9 |
| 34.00 | 22.3 |
| 45.24 | 78.0 |
| 48.84 | 18.7 |
| 54.13 | 21.1 |
| 55.06 | 16.6 |
| 57.77 | 23.7 |
| 68.76 | 14.4 |

***

Record 2
Theoretical powder XRD pattern
Compound: Dy3AgSn3
Radiation: λ = 1.5418 Å (Cu Kα)
Structure: DFT lattice parameters and positions (GGA-PBE)
Peak positions follow from Bragg's law for the DFT cell and can differ from measured ones.

```
14
Lattice="5.682 -2.292 0.000 5.682 2.292 0.000 -4.745 0.000 13.993" Properties=species:S:1:pos:R:3 pbc="T T T"
Dy -1.459 0.000 5.341
Dy -3.259 0.000 12.906
Dy 1.581 0.000 3.141
Dy 5.039 0.000 10.852
Dy 9.879 0.000 1.087
Dy 8.079 0.000 8.652
Ag 0.147 0.000 8.569
Ag 6.473 0.000 5.424
Sn 2.017 0.000 6.290
Sn -0.172 0.000 12.944
Sn 1.885 0.000 10.772
Sn 4.735 0.000 3.220
Sn 6.792 0.000 1.049
Sn 4.603 0.000 7.702
```

Main lines, sorted by position (2θ = 15–90°):
| 2θ/deg | I_rel |
| --- | --- |
| 30.31 | 67.4 |
| 30.66 | 32.6 |
| 31.10 | 97.6 |
| 31.56 | 54.2 |
| 35.44 | 52.6 |
| 37.22 | 100.0 |
| 38.61 | 26.0 |
| 39.32 | 66.5 |
| 51.26 | 28.5 |
| 60.50 | 21.9 |

***

Record 3
Theoretical powder XRD pattern
Compound: Tb3Nd6Sm2
Radiation: λ = 1.5418 Å (Cu Kα)
Structure: DFT lattice parameters and positions (GGA-PBE)
Peak positions follow from Bragg's law for the DFT cell and can differ from measured ones.

```
11
Lattice="1.820 1.051 32.601 -1.820 1.051 32.601 0.000 -2.101 32.601" Properties=species:S:1:pos:R:3 pbc="T T T"
Tb 0.000 0.000 0.000
Tb 0.000 0.000 26.727
Tb 0.000 0.000 71.078
Nd 0.000 0.000 8.815
Nd 0.000 0.000 17.813
Nd 0.000 0.000 35.539
Nd 0.000 0.000 62.265
Nd 0.000 0.000 79.991
Nd 0.000 0.000 88.990
Sm 0.000 0.000 44.404
Sm 0.000 0.000 53.400
```

Main lines, sorted by position (2θ = 15–90°):
| 2θ/deg | I_rel |
| --- | --- |
| 30.10 | 100.0 |
| 34.90 | 50.6 |
| 50.18 | 36.1 |
| 59.61 | 32.4 |
| 59.71 | 10.5 |
| 62.53 | 9.5 |
| 73.69 | 5.7 |
| 81.53 | 9.0 |
| 84.13 | 8.3 |
| 84.28 | 7.9 |

***

Record 4
Theoretical powder XRD pattern
Compound: Sr2LaTbS4
Radiation: λ = 1.5418 Å (Cu Kα)
Structure: DFT lattice parameters and positions (GGA-PBE)
Peak positions follow from Bragg's law for the DFT cell and can differ from measured ones.

```
8
Lattice="7.144 0.000 0.000 0.000 4.120 0.000 -2.373 0.000 6.865" Properties=species:S:1:pos:R:3 pbc="T T T"
Sr 0.000 0.000 0.000
Sr 3.572 2.060 0.000
La -1.186 2.060 3.432
Tb 2.386 0.000 3.432
S 0.072 0.000 5.080
S 1.252 2.060 1.825
S 3.519 2.060 5.039
S 4.699 0.000 1.785
```

Main lines, sorted by position (2θ = 15–90°):
| 2θ/deg | I_rel |
| --- | --- |
| 25.96 | 15.3 |
| 26.42 | 43.6 |
| 30.47 | 100.0 |
| 43.33 | 36.6 |
| 43.93 | 35.4 |
| 51.73 | 15.1 |
| 54.40 | 18.5 |
| 63.41 | 11.5 |
| 71.54 | 15.9 |
| 72.40 | 15.6 |

***

Record 5
Theoretical powder XRD pattern
Compound: Tb4Sc5Tl2
Radiation: λ = 1.5418 Å (Cu Kα)
Structure: DFT lattice parameters and positions (GGA-PBE)
Peak positions follow from Bragg's law for the DFT cell and can differ from measured ones.

```
11
Lattice="2.489 1.437 15.458 -2.489 1.437 15.458 0.000 -2.874 15.458" Properties=species:S:1:pos:R:3 pbc="T T T"
Tb 0.000 0.000 3.339
Tb 0.000 0.000 10.284
Tb 0.000 0.000 36.091
Tb 0.000 0.000 43.035
Sc 0.000 0.000 0.000
Sc 0.000 0.000 6.927
Sc 0.000 0.000 13.999
Sc 0.000 0.000 32.375
Sc 0.000 0.000 39.447
Tl 0.000 0.000 17.207
Tl 0.000 0.000 29.168
```

Main lines, sorted by position (2θ = 15–90°):
| 2θ/deg | I_rel |
| --- | --- |
| 24.64 | 91.8 |
| 32.58 | 69.5 |
| 34.14 | 51.5 |
| 36.09 | 100.0 |
| 44.19 | 20.4 |
| 44.36 | 18.6 |
| 49.40 | 21.3 |
| 58.32 | 18.4 |
| 62.69 | 20.5 |
| 66.10 | 32.3 |

***

Record 6
Theoretical powder XRD pattern
Compound: Rb3Ti2Te4
Radiation: λ = 1.5418 Å (Cu Kα)
Structure: DFT lattice parameters and positions (GGA-PBE)
Peak positions follow from Bragg's law for the DFT cell and can differ from measured ones.

```
18
Lattice="7.846 -5.943 0.000 7.846 5.943 0.000 -0.915 0.000 7.944" Properties=species:S:1:pos:R:3 pbc="T T T"
Rb 7.160 4.797 5.958
Rb 5.464 1.586 3.469
Rb 9.771 1.586 0.502
Rb 5.006 -1.586 7.441
Rb 9.314 -1.586 4.474
Rb 7.618 -4.797 1.986
Ti 2.463 1.533 7.463
Ti 2.921 -1.533 3.491
Ti 11.857 1.533 4.453
Ti 12.314 -1.533 0.481
Te 2.217 0.708 4.881
Te 5.084 2.243 7.764
Te 2.675 -0.708 0.909
Te 9.236 2.243 4.152
Te 5.542 -2.243 3.792
Te 12.103 0.708 7.034
Te 9.693 -2.243 0.180
Te 12.560 -0.708 3.062
```

Main lines, sorted by position (2θ = 15–90°):
| 2θ/deg | I_rel |
| --- | --- |
| 21.20 | 66.4 |
| 22.38 | 67.1 |
| 22.79 | 89.0 |
| 23.16 | 65.3 |
| 26.32 | 82.8 |
| 28.33 | 54.7 |
| 29.62 | 100.0 |
| 29.77 | 87.1 |
| 30.23 | 76.8 |
| 31.96 | 96.6 |